This entry pairs a crystal structure of TiVC2 with its computed XRD peak list. Radiation: Cu Kα (weighted mean of Kα1 and Kα2). Structure: a PBE-relaxed structure.
Lines closer than 0.1° are merged.

Peak list (9 most intense, 10 to 90 degrees two-theta, by intensity)
d/Å  intensity
2.122  100
2.448  67
1.502  28
1.499  28
1.279  23
2.456  23
1.224  13
1.281  8
1.228  4

Crystal structure
Unit cell a=5.2076 b=5.2076 c=5.2076 alpha=33.45 beta=33.45 gamma=33.45
Atoms (fractional coordinates):
Ti 0.0000 0.0000 0.0000
V 0.5000 0.5000 0.5000
C 0.2469 0.2469 0.2469
C 0.7531 0.7531 0.7531